Starting from the PBE geometry in Alexandria, the X-ray diffraction stick pattern of Ce3Os was computed for Cu Kα.
Kinematic intensities with the Lorentz-polarization factor, no thermal factor.

Crystal structure
Lattice parameters (Å, degrees): 3.308 5.510 9.730 90.00 90.00 90.00
Fractional coordinates of all 8 atoms:
1 Ce 0.000 0.000 0.000
2 Ce 0.000 0.500 0.237
3 Ce 0.000 0.500 0.763
4 Ce 0.500 0.000 0.263
5 Ce 0.500 0.000 0.737
6 Ce 0.500 0.500 0.500
7 Os 0.000 0.000 0.500
8 Os 0.500 0.500 0.000

Peak list (10 most intense, 2θ from 10° to 80°, in order of rising 2θ)
d 2.755, 2θ = 32.50°, intensity 35, (0 2 0)
d 2.450, 2θ = 36.68°, intensity 100, (1 1 2)
d 2.433, 2θ = 36.95°, intensity 24, (0 0 4)
d 1.824, 2θ = 50.02°, intensity 20, (0 2 4)
d 1.654, 2θ = 55.56°, intensity 8, (2 0 0)
d 1.525, 2θ = 60.74°, intensity 23, (1 3 2)
d 1.418, 2θ = 65.86°, intensity 9, (2 2 0)
d 1.408, 2θ = 66.41°, intensity 16, (1 1 6)
d 1.368, 2θ = 68.62°, intensity 8, (2 0 4)
d 1.225, 2θ = 77.99°, intensity 11, (2 2 4)